For CsOsC3Cl3O3, a DFT-relaxed cell (GGA-PBE, the Materials Project) gives the calculated PXRD pattern in this record (CuKα).
Peak positions follow from Bragg's law for the DFT cell and can differ from measured ones.

Cell and atoms:
```
data_CsOsC3Cl3O3
_chemical_formula_sum 'Cs4 Os4 C12 Cl12 O12'
_cell_length_a 10.1547
_cell_length_b 9.3345
_cell_length_c 11.3824
_cell_angle_alpha 90.00
_cell_angle_beta 91.11
_cell_angle_gamma 90.00
_symmetry_space_group_name_H-M 'P 1'
_symmetry_Int_Tables_number 1
_symmetry_space_group_name_Hall 'P 1'
loop_
_atom_site_label
_atom_site_type_symbol
_atom_site_fract_x
_atom_site_fract_y
_atom_site_fract_z
Cs1 Cs 0.1186 0.2476 0.0426
Cs2 Cs 0.1186 0.2524 0.5426
Cs3 Cs 0.8814 0.7476 0.4574
Cs4 Cs 0.8814 0.7524 0.9574
Os1 Os 0.2958 0.6195 0.7904
Os2 Os 0.2958 0.8805 0.2904
Os3 Os 0.7042 0.1195 0.7096
Os4 Os 0.7042 0.3805 0.2096
C1 C 0.2758 0.6785 0.2905
C2 C 0.2758 0.8215 0.7905
C3 C 0.3676 0.6195 0.6382
C4 C 0.3676 0.8805 0.1382
C5 C 0.4642 0.6292 0.8643
C6 C 0.4642 0.8708 0.3643
C7 C 0.5358 0.1292 0.6357
C8 C 0.5358 0.3708 0.1357
C9 C 0.6324 0.1195 0.8618
C10 C 0.6324 0.3805 0.3618
C11 C 0.7242 0.1785 0.2095
C12 C 0.7242 0.3215 0.7095
Cl1 Cl 0.0711 0.5872 0.7083
Cl2 Cl 0.0711 0.9128 0.2083
Cl3 Cl 0.1977 0.6093 0.9856
Cl4 Cl 0.1977 0.8907 0.4856
Cl5 Cl 0.3140 0.1431 0.2951
Cl6 Cl 0.3140 0.3569 0.7951
Cl7 Cl 0.6860 0.6431 0.2049
Cl8 Cl 0.6860 0.8569 0.7049
Cl9 Cl 0.8023 0.1093 0.5144
Cl10 Cl 0.8023 0.3907 0.0144
Cl11 Cl 0.9289 0.0872 0.7917
Cl12 Cl 0.9289 0.4128 0.2917
O1 O 0.2627 0.5551 0.2938
O2 O 0.2627 0.9449 0.7938
O3 O 0.4123 0.6163 0.5454
O4 O 0.4123 0.8837 0.0454
O5 O 0.4340 0.1322 0.5881
O6 O 0.4340 0.3678 0.0881
O7 O 0.5660 0.6322 0.9119
O8 O 0.5660 0.8678 0.4119
O9 O 0.5877 0.1163 0.9546
O10 O 0.5877 0.3837 0.4546
O11 O 0.7373 0.0551 0.2062
O12 O 0.7373 0.4449 0.7062
```

Top 8 peaks for 10° ≤ 2θ ≤ 90°, by angle:
Position (°2θ), d [Å], intensity
15.0, 5.917, 100
15.1, 5.849, 72
19.9, 4.460, 56
20.4, 4.355, 61
20.6, 4.318, 70
23.3, 3.825, 52
30.0, 2.975, 60
31.0, 2.884, 85